Theoretical powder diffraction line list
Compound: V4Cr
Radiation: λ = 1.5418 Å (Cu Kα)
Structure: a PBE-relaxed structure
No peak broadening, texture or thermal motion is included.

a = 6.7814 Å, b = 6.7814 Å, c = 6.7814 Å
α = 137.89°, β = 137.89°, γ = 61.07°
Atoms (fractional coordinates):
V 0.1806 0.8084 0.8901
V 0.2095 0.3194 0.1278
V 0.3084 0.9183 0.6278
V 0.4183 0.2905 0.6099
V 0.5817 0.7095 0.3901
V 0.6916 0.0817 0.3722
V 0.7905 0.6806 0.8722
V 0.8194 0.1916 0.1099
Cr 0.1250 0.3750 0.7500
Cr 0.8750 0.6250 0.2500

Top 10 peaks for 5° ≤ 2θ ≤ 70°, most intense first:
two_theta, Rel. int.
42.19, 100.0
40.49, 77.2
47.83, 75.4
42.93, 48.4
30.11, 37.9
40.10, 36.6
62.32, 20.9
48.67, 18.0
58.46, 14.6
57.27, 8.0